(1)
Diffraction record for Tb4Er3Ni4. The powder diffractogram is calculated, not measured: it uses DFT lattice parameters and positions (PBE) and Cu Ka.
No peak broadening, texture or thermal motion is included.

Cell and atoms:
```
data_Tb4Er3Ni4
_cell_length_a 8.9602
_cell_length_b 8.9602
_cell_length_c 8.9602
_cell_angle_alpha 155.73
_cell_angle_beta 119.92
_cell_angle_gamma 65.77
_symmetry_space_group_name_H-M 'P 1'
_symmetry_Int_Tables_number 1
loop_
_symmetry_equiv_pos_as_xyz
'x,y,z'
loop_
_atom_site_label
_atom_site_type_symbol
_atom_site_fract_x
_atom_site_fract_y
_atom_site_fract_z
Tb1 Tb 0.0266 0.8404 0.1862
Tb2 Tb 0.3457 0.1596 0.1862
Tb3 Tb 0.6543 0.8404 0.8138
Tb4 Tb 0.9734 0.1596 0.8138
Er1 Er 0.0000 0.5000 0.5000
Er2 Er 0.3899 0.3899 0.0000
Er3 Er 0.6101 0.6101 0.0000
Ni1 Ni 0.2396 0.7396 0.5000
Ni2 Ni 0.3515 0.0000 0.3515
Ni3 Ni 0.6485 0.0000 0.6485
Ni4 Ni 0.7604 0.2604 0.5000
```

The 8 most intense peaks (2θ = 10–90°), sorted by position:
d [Å]  two_theta  Rel. int.
3.012  29.66  25
2.853  31.35  26
2.833  31.58  94
2.569  34.93  74
2.552  35.17  100
1.883  48.34  32
1.519  61.01  29
1.488  62.42  25

=====

(2)
Diffraction record for Tb3Er4Ni4. The powder diffractogram is calculated, not measured: it uses DFT lattice parameters and positions (PBE) and Cu Ka.
No peak broadening, texture or thermal motion is included.

Cell and atoms:
```
data_Tb3Er4Ni4
_cell_length_a 8.5970
_cell_length_b 8.5970
_cell_length_c 8.5970
_cell_angle_alpha 149.44
_cell_angle_beta 128.99
_cell_angle_gamma 60.64
_symmetry_space_group_name_H-M 'P 1'
_symmetry_Int_Tables_number 1
loop_
_symmetry_equiv_pos_as_xyz
'x,y,z'
loop_
_atom_site_label
_atom_site_type_symbol
_atom_site_fract_x
_atom_site_fract_y
_atom_site_fract_z
Tb1 Tb 0.0000 0.0000 0.0000
Tb2 Tb 0.3956 0.8956 0.5000
Tb3 Tb 0.6044 0.1044 0.5000
Er1 Er 0.0432 0.3296 0.7137
Er2 Er 0.3841 0.6704 0.7137
Er3 Er 0.6159 0.3296 0.2863
Er4 Er 0.9568 0.6704 0.2863
Ni1 Ni 0.2060 0.2060 0.0000
Ni2 Ni 0.3393 0.5000 0.8393
Ni3 Ni 0.6607 0.5000 0.1607
Ni4 Ni 0.7940 0.7940 0.0000
```

The 8 most intense peaks (2θ = 10–90°), sorted by position:
d [Å]  two_theta  Rel. int.
3.342  26.68  28
3.313  26.92  19
2.815  31.79  100
2.755  32.50  29
2.677  33.48  55
2.481  36.20  58
2.266  39.79  43
2.208  40.86  22